No. 1
Theoretical powder diffractogram of ScFeSi2 for Cu Kα X-rays, from a crystal structure in Alexandria, relaxed with PBE.
Neutral-atom scattering factors, no anomalous dispersion.

Crystal structure
```
ScFeSi2
1.0
2.532 -9.427 0.000
2.532 9.427 0.000
0.000 0.000 14.215
Sc Fe Si
12 12 24
Direct
0.033 0.967 0.823
0.123 0.877 0.085
0.204 0.796 0.319
0.296 0.704 0.819
0.377 0.623 0.585
0.467 0.533 0.323
0.533 0.467 0.677
0.623 0.377 0.415
0.704 0.296 0.181
0.796 0.204 0.681
0.877 0.123 0.915
0.967 0.033 0.177
0.000 0.500 0.000
0.000 0.500 0.500
0.041 0.959 0.377
0.089 0.411 0.250
0.411 0.089 0.750
0.459 0.541 0.877
0.500 0.000 0.000
0.500 0.000 0.500
0.541 0.459 0.123
0.589 0.911 0.250
0.911 0.589 0.750
0.959 0.041 0.623
0.087 0.913 0.644
0.140 0.860 0.492
0.164 0.336 0.750
0.167 0.833 0.899
0.235 0.765 0.643
0.246 0.246 0.000
0.254 0.254 0.500
0.265 0.735 0.143
0.333 0.667 0.399
0.336 0.164 0.250
0.360 0.640 0.992
0.413 0.587 0.144
0.587 0.413 0.856
0.640 0.360 0.008
0.664 0.836 0.750
0.667 0.333 0.601
0.735 0.265 0.857
0.746 0.746 0.500
0.754 0.754 0.000
0.765 0.235 0.357
0.833 0.167 0.101
0.836 0.664 0.250
0.860 0.140 0.508
0.913 0.087 0.356
```

Main lines, by angle (2θ from 10° to 80°):
- 3.325 Å, 2θ 26.8, I = 21.9
- 2.306 Å, 2θ 39.1, I = 69.2
- 2.255 Å, 2θ 40.0, I = 93.2
- 2.237 Å, 2θ 40.3, I = 32.3
- 2.128 Å, 2θ 42.5, I = 100.0
- 2.125 Å, 2θ 42.5, I = 28.8
- 2.117 Å, 2θ 42.7, I = 45.3
- 2.062 Å, 2θ 43.9, I = 91.6
- 2.018 Å, 2θ 44.9, I = 33.7
- 1.865 Å, 2θ 48.8, I = 27.9

=====

No. 2
Theoretical powder diffractogram of ScFe3Si7 for Cu Kα X-rays, from a crystal structure in Alexandria, relaxed with PBE.
Neutral-atom scattering factors, no anomalous dispersion.

Crystal structure
```
ScFe3Si7
1.0
3.625 2.093 6.339
-3.625 2.093 6.339
0.000 -4.185 6.339
Sc Fe Si
2 6 14
Direct
0.000 0.000 0.000
0.500 0.500 0.500
0.077 0.750 0.423
0.250 0.577 0.923
0.423 0.077 0.750
0.577 0.923 0.250
0.750 0.423 0.077
0.923 0.250 0.577
0.076 0.852 0.660
0.148 0.340 0.924
0.160 0.352 0.576
0.250 0.250 0.250
0.340 0.924 0.148
0.352 0.576 0.160
0.424 0.840 0.648
0.576 0.160 0.352
0.648 0.424 0.840
0.660 0.076 0.852
0.750 0.750 0.750
0.840 0.648 0.424
0.852 0.660 0.076
0.924 0.148 0.340
```

Main lines, by angle (2θ from 10° to 80°):
- 3.147 Å, 2θ 28.4, I = 100.0
- 2.386 Å, 2θ 37.7, I = 34.6
- 2.355 Å, 2θ 38.2, I = 40.4
- 2.223 Å, 2θ 40.6, I = 33.7
- 2.123 Å, 2θ 42.6, I = 54.9
- 2.093 Å, 2θ 43.2, I = 63.1
- 1.826 Å, 2θ 50.0, I = 87.0
- 1.746 Å, 2θ 52.4, I = 40.7
- 1.743 Å, 2θ 52.5, I = 58.9
- 1.263 Å, 2θ 75.2, I = 30.0

=====

No. 3
Theoretical powder diffractogram of Sc2Fe3Si5 for Cu Kα X-rays, from a crystal structure in Alexandria, relaxed with PBE.
Neutral-atom scattering factors, no anomalous dispersion.

Crystal structure
```
Sc2Fe3Si5
1.0
10.155 0.000 0.000
0.000 10.155 0.000
0.000 0.000 5.270
Sc Fe Si
8 12 20
Direct
0.069 0.236 0.000
0.236 0.931 0.000
0.264 0.431 0.500
0.431 0.736 0.500
0.569 0.264 0.500
0.736 0.569 0.500
0.764 0.069 0.000
0.931 0.764 0.000
0.000 0.500 0.250
0.000 0.500 0.750
0.122 0.856 0.500
0.144 0.122 0.500
0.356 0.622 0.000
0.378 0.356 0.000
0.500 0.000 0.250
0.500 0.000 0.750
0.622 0.644 0.000
0.644 0.378 0.000
0.856 0.878 0.500
0.878 0.144 0.500
0.000 0.000 0.246
0.000 0.000 0.754
0.028 0.318 0.500
0.178 0.678 0.250
0.178 0.678 0.750
0.182 0.472 0.000
0.318 0.972 0.500
0.322 0.178 0.250
0.322 0.178 0.750
0.472 0.818 0.000
0.500 0.500 0.254
0.500 0.500 0.746
0.528 0.182 0.000
0.678 0.822 0.250
0.678 0.822 0.750
0.682 0.028 0.500
0.818 0.528 0.000
0.822 0.322 0.250
0.822 0.322 0.750
0.972 0.682 0.500
```

Main lines, by angle (2θ from 10° to 80°):
- 4.678 Å, 2θ 19.0, I = 53.5
- 3.211 Å, 2θ 27.8, I = 30.5
- 2.742 Å, 2θ 32.7, I = 42.6
- 2.463 Å, 2θ 36.5, I = 31.9
- 2.279 Å, 2θ 39.5, I = 36.6
- 2.271 Å, 2θ 39.7, I = 46.7
- 2.231 Å, 2θ 40.4, I = 90.5
- 2.124 Å, 2θ 42.6, I = 100.0
- 1.895 Å, 2θ 48.0, I = 34.5
- 1.772 Å, 2θ 51.6, I = 53.0

=====

No. 4
Theoretical powder diffractogram of SmSc3Fe8 for Cu Kα X-rays, from a crystal structure in Alexandria, relaxed with PBE.
Neutral-atom scattering factors, no anomalous dispersion.

Crystal structure
```
SmSc3Fe8
1.0
2.494 1.440 8.176
-2.494 1.440 8.176
0.000 -2.879 8.176
Sm Sc Fe
1 3 8
Direct
0.000 0.000 0.000
0.378 0.378 0.378
0.500 0.500 0.500
0.873 0.873 0.873
0.187 0.187 0.187
0.436 0.436 0.934
0.436 0.934 0.436
0.442 0.939 0.939
0.689 0.689 0.689
0.934 0.436 0.436
0.939 0.442 0.939
0.939 0.939 0.442
```

Main lines, by angle (2θ from 10° to 80°):
- 4.254 Å, 2θ 20.9, I = 11.5
- 2.497 Å, 2θ 36.0, I = 44.2
- 2.130 Å, 2θ 42.4, I = 100.0
- 2.127 Å, 2θ 42.5, I = 33.4
- 2.044 Å, 2θ 44.3, I = 11.2
- 2.037 Å, 2θ 44.5, I = 34.8
- 1.359 Å, 2θ 69.1, I = 21.1
- 1.358 Å, 2θ 69.2, I = 14.1
- 1.250 Å, 2θ 76.2, I = 14.8
- 1.247 Å, 2θ 76.4, I = 15.1